Structure and computed powder diffraction line list of La8Pr4Ho (a cell relaxed with GGA-PBE; λ = 1.5418 Å (Cu Kα)).
Intensities are scaled so that the largest is 100.

Structure:
a b c (Å): 11.9499 11.9499 12.0164
angles (deg): 90.00 90.00 120.00
Space group R-3m (No. 166, hexagonal axes)
One atom of each set of equivalent atoms:
La1 0.0000 0.0000 0.2380 x6
La2 0.0017 0.5008 0.6703 x18
Pr1 0.0000 0.0000 0.0000 x3
Pr2 0.0000 0.5000 0.0000 x9
Ho1 0.0000 0.0000 0.5000 x3

Most intense lines, 2θ from 10° to 80°, in order of rising 2θ:
| index | d_spacing | I/Imax |
| --- | --- | --- |
| 0 0 3 | 4.005 | 29 |
| 1 1 3 | 3.327 | 20 |
| 2 2 0 | 2.987 | 100 |
| 3 0 3 | 2.614 | 10 |
| 0 2 4 | 2.598 | 9 |
| 2 2 3 | 2.395 | 44 |
| 2 1 4 | 2.383 | 9 |
| 1 4 3 | 1.967 | 9 |
| 6 0 0 | 1.725 | 20 |
| 2 2 6 | 1.664 | 18 |
| 6 0 3 | 1.584 | 12 |
| 4 4 0 | 1.494 | 12 |

Structure and computed powder diffraction line list of CdCu2Ag (a cell relaxed with GGA-PBE; λ = 1.5418 Å (Cu Kα)).
Intensities are scaled so that the largest is 100.

Structure:
a b c (Å): 6.334 6.334 6.334
angles (deg): 90.00 90.00 90.00
Space group F-43m (No. 216)
One atom of each set of equivalent atoms:
Cd1 0.000 0.000 0.000 x4
Cu1 0.000 0.000 0.500 x4
Cu2 0.250 0.250 0.250 x4
Ag1 0.250 0.250 0.750 x4

Most intense lines, 2θ from 10° to 80°, in order of rising 2θ:
| index | d_spacing | I/Imax |
| --- | --- | --- |
| 1 1 1 | 3.657 | 7 |
| 2 2 0 | 2.239 | 100 |
| 3 1 1 | 1.910 | 4 |
| 4 0 0 | 1.584 | 16 |
| 3 3 1 | 1.453 | 1 |
| 4 2 2 | 1.293 | 31 |
| 5 1 1 | 1.219 | 1 |

Structure and computed powder diffraction line list of K2Al7Au12 (a cell relaxed with GGA-PBE; λ = 1.5418 Å (Cu Kα)).
Intensities are scaled so that the largest is 100.

Structure:
a b c (Å): 10.4045 10.4045 4.4500
angles (deg): 90.00 90.00 120.00
Space group P-3 (No. 147)
One atom of each set of equivalent atoms:
K1 0.3333 0.6667 0.2397 x2
Al1 0.0000 0.0000 0.5000 x1
Al2 0.1038 0.3888 0.7233 x6
Au1 0.0657 0.6160 0.7536 x6
Au2 0.1290 0.8699 0.2195 x6

Most intense lines, 2θ from 10° to 80°, in order of rising 2θ:
| index | d_spacing | I/Imax |
| --- | --- | --- |
| 1 1 0 | 5.202 | 22 |
| 1 2 0 | 3.406 | 19 |
| 1 1 1 | 3.382 | 19 |
| 2 0 1 | 3.166 | 15 |
| 3 -1 1 | 2.705 | 100 |
| 0 0 2 | 2.225 | 21 |
| 3 1 1 | 2.179 | 25 |
| 2 3 0 | 2.067 | 33 |
| 0 4 1 | 2.010 | 12 |
| 2 3 2 | 1.514 | 21 |
| 5 2 1 | 1.373 | 12 |
| 8 -3 1 | 1.237 | 14 |

Structure and computed powder diffraction line list of DyMgPb3 (a cell relaxed with GGA-PBE; λ = 1.5418 Å (Cu Kα)).
Intensities are scaled so that the largest is 100.

Structure:
a b c (Å): 6.485 13.415 6.400
angles (deg): 90.00 90.10 90.00
Space group P2/c (No. 13)
One atom of each set of equivalent atoms:
Dy1 0.250 0.192 0.000 x4
Mg1 0.000 0.382 0.250 x2
Mg2 0.500 0.382 0.250 x2
Pb1 0.000 0.001 0.250 x2
Pb2 0.250 0.224 0.505 x4
Pb3 0.250 0.423 0.815 x4
Pb4 0.500 0.001 0.250 x2

Most intense lines, 2θ from 10° to 80°, in order of rising 2θ:
| index | d_spacing | I/Imax |
| --- | --- | --- |
| 2 0 0 | 3.243 | 22 |
| 1 3 1 | 3.191 | 26 |
| 2 1 0 | 3.152 | 26 |
| 2 2 0 | 2.919 | 47 |
| 0 2 2 | 2.888 | 100 |
| 0 5 0 | 2.683 | 54 |
| 2 3 0 | 2.625 | 50 |
| 0 3 2 | 2.602 | 42 |
| 2 0 2 | 2.278 | 30 |
| 2 1 2 | 2.246 | 45 |
| 2 4 2 | 1.884 | 28 |
| 2 5 2 | 1.736 | 24 |

Structure and computed powder diffraction line list of SrH4O3 (a cell relaxed with GGA-PBE; λ = 1.5418 Å (Cu Kα)).
Intensities are scaled so that the largest is 100.

Structure:
a b c (Å): 3.698 6.203 6.740
angles (deg): 90.00 90.00 90.00
Space group Pmc2_1 (No. 26)
One atom of each set of equivalent atoms:
Sr1 0.000 0.129 0.000 x2
H1 0.209 0.381 0.581 x4
H2 0.500 0.204 0.348 x2
H3 0.500 0.468 0.856 x2
O1 0.000 0.287 0.626 x2
O2 0.500 0.063 0.285 x2
O3 0.500 0.440 0.998 x2

Most intense lines, 2θ from 10° to 80°, in order of rising 2θ:
| index | d_spacing | I/Imax |
| --- | --- | --- |
| 0 1 0 | 6.203 | 76 |
| 0 1 1 | 4.564 | 80 |
| 1 0 0 | 3.698 | 38 |
| 0 0 2 | 3.370 | 55 |
| 1 1 0 | 3.177 | 37 |
| 1 1 1 | 2.874 | 46 |
| 0 2 1 | 2.818 | 57 |
| 1 0 2 | 2.491 | 49 |
| 1 1 2 | 2.312 | 74 |
| 1 2 1 | 2.241 | 100 |
| 0 1 3 | 2.112 | 27 |
| 1 2 3 | 1.633 | 24 |

Structure and computed powder diffraction line list of BaV2CuS8 (a cell relaxed with GGA-PBE; λ = 1.5418 Å (Cu Kα)).
Intensities are scaled so that the largest is 100.

Structure:
a b c (Å): 5.9048 5.9048 27.0304
angles (deg): 90.00 90.00 120.00
Space group R-3 (No. 148, hexagonal axes)
One atom of each set of equivalent atoms:
Ba1 0.0000 0.0000 0.0000 x3
V1 0.0000 0.0000 0.2449 x6
Cu1 0.0000 0.0000 0.5000 x3
S1 0.0000 0.0000 0.3242 x6
S2 0.0016 0.6543 0.7801 x18

Most intense lines, 2θ from 10° to 80°, in order of rising 2θ:
| index | d_spacing | I/Imax |
| --- | --- | --- |
| 1 0 4 | 4.078 | 100 |
| 0 0 9 | 3.003 | 25 |
| 1 1 0 | 2.952 | 42 |
| 0 1 8 | 2.819 | 30 |
| 1 1 3 | 2.806 | 51 |
| 2 -1 6 | 2.469 | 46 |
| 0 2 4 | 2.391 | 32 |
| 3 -1 4 | 1.858 | 25 |
| 1 1 12 | 1.791 | 46 |
| 3 0 0 | 1.705 | 33 |
| 3 0 9 | 1.482 | 15 |
| 4 -2 12 | 1.235 | 13 |

Structure and computed powder diffraction line list of Tl2Co2I7 (a cell relaxed with GGA-PBE; λ = 1.5418 Å (Cu Kα)).
Intensities are scaled so that the largest is 100.

Structure:
a b c (Å): 7.101 16.489 8.668
angles (deg): 90.00 99.19 90.00
Space group P2_1/c (No. 14)
One atom of each set of equivalent atoms:
Tl1 0.131 0.158 0.465 x4
Co1 0.326 0.609 0.638 x4
I1 0.032 0.653 0.451 x4
I2 0.231 0.552 0.887 x4
I3 0.458 0.229 0.781 x4
I4 0.500 0.000 0.000 x2

Most intense lines, 2θ from 10° to 80°, in order of rising 2θ:
| index | d_spacing | I/Imax |
| --- | --- | --- |
| 1 2 -1 | 4.810 | 100 |
| 1 3 0 | 4.325 | 21 |
| 0 0 2 | 4.278 | 20 |
| 1 4 0 | 3.555 | 90 |
| 1 0 2 | 3.418 | 43 |
| 1 4 -1 | 3.376 | 61 |
| 2 2 -1 | 3.176 | 23 |
| 0 3 3 | 2.531 | 16 |
| 2 4 1 | 2.465 | 20 |
| 0 4 3 | 2.346 | 16 |
| 0 6 2 | 2.313 | 31 |
| 2 2 -3 | 2.312 | 23 |

Structure and computed powder diffraction line list of Te5Au4I (a cell relaxed with GGA-PBE; λ = 1.5418 Å (Cu Kα)).
Intensities are scaled so that the largest is 100.

Structure:
a b c (Å): 8.539 12.767 5.605
angles (deg): 90.00 90.00 90.00
Space group Pmmn (No. 59, origin choice 2)
One atom of each set of equivalent atoms:
Te1 0.005 0.063 0.212 x8
Te2 0.250 0.750 0.327 x2
Au1 0.010 0.750 0.016 x4
Au2 0.250 0.526 0.484 x4
I1 0.250 0.250 0.654 x2

Most intense lines, 2θ from 10° to 80°, in order of rising 2θ:
| index | d_spacing | I/Imax |
| --- | --- | --- |
| 0 2 1 | 4.212 | 33 |
| 2 0 1 | 3.394 | 100 |
| 2 1 1 | 3.282 | 16 |
| 0 4 0 | 3.192 | 25 |
| 2 4 1 | 2.326 | 33 |
| 2 2 2 | 2.199 | 56 |
| 4 0 0 | 2.135 | 21 |
| 2 5 1 | 2.041 | 13 |
| 2 6 0 | 1.904 | 15 |
| 4 3 1 | 1.807 | 11 |
| 0 2 3 | 1.793 | 16 |
| 4 2 3 | 1.373 | 14 |

Structure and computed powder diffraction line list of Nd5Te5Pb (a cell relaxed with GGA-PBE; λ = 1.5418 Å (Cu Kα)).
Intensities are scaled so that the largest is 100.

Structure:
a b c (Å): 14.241 6.382 8.999
angles (deg): 90.00 108.30 90.00
Space group C2/m (No. 12)
One atom of each set of equivalent atoms:
Nd1 0.000 0.000 0.000 x2
Nd2 0.164 0.500 0.829 x4
Nd3 0.165 0.500 0.334 x4
Te1 0.000 0.500 0.500 x2
Te2 0.164 0.000 0.337 x4
Te3 0.166 0.000 0.831 x4
Pb1 0.000 0.500 0.000 x2

Most intense lines, 2θ from 10° to 80°, in order of rising 2θ:
| index | d_spacing | I/Imax |
| --- | --- | --- |
| 0 0 1 | 8.544 | 6 |
| 2 0 -1 | 6.362 | 3 |
| 1 1 0 | 5.771 | 6 |
| 2 0 2 | 3.186 | 100 |
| 2 2 2 | 2.253 | 77 |
| 6 2 0 | 1.840 | 28 |
| 0 4 0 | 1.595 | 9 |
| 8 0 -4 | 1.590 | 4 |
| 2 4 2 | 1.426 | 21 |
| 0 0 6 | 1.423 | 15 |
| 6 4 0 | 1.302 | 13 |
| 0 2 6 | 1.300 | 13 |

Structure and computed powder diffraction line list of Li2PmSnSe4 (a cell relaxed with GGA-PBE; λ = 1.5418 Å (Cu Kα)).
Intensities are scaled so that the largest is 100.

Structure:
a b c (Å): 5.765 5.765 11.588
angles (deg): 90.00 90.00 90.00
Space group I-4m2 (No. 119)
One atom of each set of equivalent atoms:
Li1 0.000 0.000 0.000 x2
Li2 0.000 0.500 0.250 x2
Pm1 0.000 0.500 0.750 x2
Sn1 0.000 0.000 0.500 x2
Se1 0.000 0.000 0.253 x4
Se2 0.000 0.500 0.005 x4

Most intense lines, 2θ from 10° to 80°, in order of rising 2θ:
| index | d_spacing | I/Imax |
| --- | --- | --- |
| 1 0 1 | 5.161 | 76 |
| 1 0 3 | 3.209 | 27 |
| 0 0 4 | 2.897 | 50 |
| 2 0 0 | 2.882 | 100 |
| 2 1 1 | 2.517 | 25 |
| 2 1 3 | 2.144 | 18 |
| 2 0 4 | 2.043 | 74 |
| 2 2 0 | 2.038 | 37 |
| 2 2 4 | 1.667 | 39 |
| 4 0 0 | 1.441 | 12 |
| 2 0 8 | 1.294 | 17 |
| 4 2 0 | 1.290 | 33 |

Structure and computed powder diffraction line list of PmTh2Sc (a cell relaxed with GGA-PBE; λ = 1.5418 Å (Cu Kα)).
Intensities are scaled so that the largest is 100.

Structure:
a b c (Å): 3.535 3.535 9.840
angles (deg): 90.00 90.00 90.00
Space group P4/mmm (No. 123)
One atom of each set of equivalent atoms:
Pm1 0.000 0.000 0.000 x1
Th1 0.500 0.500 0.265 x2
Sc1 0.000 0.000 0.500 x1

Most intense lines, 2θ from 10° to 80°, in order of rising 2θ:
| index | d_spacing | I/Imax |
| --- | --- | --- |
| 0 0 2 | 4.920 | 14 |
| 1 0 0 | 3.535 | 13 |
| 1 0 1 | 3.327 | 7 |
| 1 0 2 | 2.871 | 100 |
| 1 1 0 | 2.500 | 35 |
| 0 0 4 | 2.460 | 15 |
| 1 1 2 | 2.229 | 8 |
| 2 0 0 | 1.768 | 13 |
| 1 1 4 | 1.753 | 22 |
| 2 1 2 | 1.505 | 29 |
| 1 0 6 | 1.488 | 12 |
| 2 0 4 | 1.435 | 12 |